Entry 1:
This entry pairs a crystal structure of DyMnCr with its computed XRD peak list. Radiation: Cu Kα (λ = 1.5418 Å). Structure: a GGA-PBE-relaxed structure.
Peak positions follow from Bragg's law for the DFT cell and can differ from measured ones.

Principal peaks in the range 2θ from 5° to 70°, sorted by position:
two_theta	I/Imax
33.15	74
37.56	40
39.79	68
40.19	100
40.51	21
59.24	16
62.16	26
63.72	20
64.01	24
69.58	23

Atomic structure:
```
DyMnCr
1.0
2.7021 1.5601 12.0784
-2.7021 1.5601 12.0784
0.0000 -3.1201 12.0784
Dy Mn Cr
6 6 6
direct
0.0429 0.0429 0.0429
0.1797 0.1797 0.1797
0.2632 0.2632 0.2632
0.7368 0.7368 0.7368
0.8203 0.8203 0.8203
0.9571 0.9571 0.9571
0.2257 0.7196 0.7196
0.2804 0.2804 0.7743
0.2804 0.7743 0.2804
0.7196 0.2257 0.7196
0.7196 0.7196 0.2257
0.7743 0.2804 0.2804
0.0000 0.5000 0.5000
0.3903 0.3903 0.3903
0.5000 0.0000 0.5000
0.5000 0.5000 0.0000
0.5000 0.5000 0.5000
0.6097 0.6097 0.6097
```


Entry 2:
This entry pairs a crystal structure of DyNp2CrN4 with its computed XRD peak list. Radiation: Cu Kα (λ = 1.5418 Å). Structure: a GGA-PBE-relaxed structure.
Peak positions follow from Bragg's law for the DFT cell and can differ from measured ones.

Principal peaks in the range 2θ from 5° to 70°, sorted by position:
two_theta	I/Imax
28.33	100
31.36	62
32.41	92
37.01	46
39.54	73
42.93	22
49.47	35
54.77	24
63.77	27
65.45	23

Atomic structure:
```
DyNp2CrN4
1.0
1.6464 -5.7056 0.0000
1.6464 5.7056 0.0000
0.0000 0.0000 11.3334
Dy Np Cr N
2 4 2 8
direct
0.1086 0.8914 0.7500
0.8914 0.1086 0.2500
0.3671 0.6329 0.5521
0.3671 0.6329 0.9479
0.6329 0.3671 0.0521
0.6329 0.3671 0.4479
0.1554 0.8446 0.2500
0.8446 0.1554 0.7500
0.0000 0.0000 0.0000
0.0000 0.0000 0.5000
0.2733 0.7267 0.1246
0.2733 0.7267 0.3754
0.4503 0.5497 0.7500
0.5497 0.4503 0.2500
0.7267 0.2733 0.6246
0.7267 0.2733 0.8754
```


Entry 3:
This entry pairs a crystal structure of Pm2DyCrN4 with its computed XRD peak list. Radiation: Cu Kα (λ = 1.5418 Å). Structure: a GGA-PBE-relaxed structure.
Peak positions follow from Bragg's law for the DFT cell and can differ from measured ones.

Principal peaks in the range 2θ from 5° to 70°, sorted by position:
two_theta	I/Imax
26.94	77
29.57	43
30.82	59
31.01	100
35.82	33
38.14	88
43.23	27
46.68	35
52.01	23
55.54	22

Atomic structure:
```
Pm2DyCrN4
1.0
1.7104 -5.8032 0.0000
1.7104 5.8032 0.0000
0.0000 0.0000 12.0848
Pm Dy Cr N
4 2 2 8
direct
0.1327 0.8673 0.5425
0.1327 0.8673 0.9575
0.8673 0.1327 0.0425
0.8673 0.1327 0.4575
0.3846 0.6154 0.7500
0.6154 0.3846 0.2500
0.3403 0.6597 0.2500
0.6597 0.3403 0.7500
0.0752 0.9248 0.7500
0.2273 0.7727 0.1389
0.2273 0.7727 0.3611
0.5000 0.5000 0.0000
0.5000 0.5000 0.5000
0.7727 0.2273 0.6389
0.7727 0.2273 0.8611
0.9248 0.0752 0.2500
```